Starting from a DFT-relaxed cell (GGA+U, the Materials Project), the X-ray diffraction stick pattern of K2CoS2O10 was calculated for Cu Kα X-rays.

The 10 most intense peaks (5 to 70 degrees two-theta), in order of falling intensity:
two_theta	I/Imax	h k l
12.58	1000	0 2 0
15.06	811	0 1 1
29.23	619	1 2 1
26.69	595	1 3 -1
23.42	580	0 3 1
27.39	525	1 0 -2
44.18	388	1 3 -3
27.04	286	1 1 1
35.10	270	2 1 -1
36.85	241	2 2 -1

Atomic structure:
a = 5.205 Å, b = 14.069 Å, c = 6.883 Å
α = 90.00°, β = 109.80°, γ = 90.00°
Positions (direct):
K1 0.217 0.150 0.080
K2 0.217 0.350 0.580
K3 0.783 0.650 0.420
K4 0.783 0.850 0.920
Co1 0.000 0.000 0.500
Co2 0.000 0.500 0.000
S1 0.445 0.599 0.799
S2 0.445 0.901 0.299
S3 0.555 0.099 0.701
S4 0.555 0.401 0.201
O1 0.035 0.615 0.103
O2 0.035 0.885 0.603
O3 0.207 0.537 0.790
O4 0.207 0.963 0.290
O5 0.332 0.029 0.717
O6 0.332 0.471 0.217
O7 0.373 0.658 0.613
O8 0.373 0.842 0.113
O9 0.451 0.154 0.508
O10 0.451 0.346 0.008
O11 0.549 0.654 0.992
O12 0.549 0.846 0.492
O13 0.627 0.158 0.887
O14 0.627 0.342 0.387
O15 0.668 0.529 0.783
O16 0.668 0.971 0.283
O17 0.793 0.037 0.710
O18 0.793 0.463 0.210
O19 0.965 0.115 0.397
O20 0.965 0.385 0.897

=====

Starting from a DFT-relaxed cell (GGA+U, the Materials Project), the X-ray diffraction stick pattern of Na2W4O13 was calculated for Cu Kα X-rays.

The 10 most intense peaks (5 to 70 degrees two-theta), in order of falling intensity:
two_theta	I/Imax	h k l
23.42	1000	1 0 -1
10.59	750	0 0 1
24.85	599	0 2 1
21.26	574	0 0 2
32.07	431	-1 2 1
28.42	396	0 2 -2
32.16	216	0 0 3
14.10	211	0 1 -1
25.59	171	1 1 -1
34.00	166	1 -2 1

Atomic structure:
a = 3.901 Å, b = 8.435 Å, c = 8.618 Å
α = 96.23°, β = 102.78°, γ = 90.49°
Positions (direct):
Na1 0.207 0.198 0.423
Na2 0.793 0.802 0.577
W1 0.352 0.521 0.806
W2 0.466 0.130 0.828
W3 0.534 0.870 0.172
W4 0.648 0.479 0.194
O1 0.064 0.859 0.155
O2 0.106 0.491 0.186
O3 0.323 0.647 0.654
O4 0.342 0.986 0.659
O5 0.350 0.307 0.696
O6 0.498 0.345 0.997
O7 0.500 0.000 0.000
O8 0.502 0.655 0.003
O9 0.650 0.693 0.304
O10 0.658 0.014 0.341
O11 0.677 0.353 0.346
O12 0.894 0.509 0.814
O13 0.936 0.141 0.845

=====

Starting from a DFT-relaxed cell (GGA+U, the Materials Project), the X-ray diffraction stick pattern of Mn2Nb2Zn2O9 was calculated for Cu Kα X-rays.

The 10 most intense peaks (5 to 70 degrees two-theta), in order of falling intensity:
two_theta	I/Imax	h k l
31.29	1000	1 0 4
33.68	704	1 1 0
46.63	371	0 2 4
58.75	344	2 1 4
60.24	267	3 0 0
50.89	245	1 1 6
22.83	135	0 1 2
54.12	131	0 1 8
19.26	125	1 0 0
38.58	100	1 1 3

Atomic structure:
a = 5.322 Å, b = 5.322 Å, c = 14.578 Å
α = 90.00°, β = 90.00°, γ = 120.00°
Positions (direct):
Mn1 0.000 0.000 0.000
Mn2 0.000 0.000 0.500
Mn3 0.333 0.667 0.465
Mn4 0.333 0.667 0.965
Nb1 0.667 0.333 0.126
Nb2 0.667 0.333 0.338
Nb3 0.667 0.333 0.626
Nb4 0.667 0.333 0.838
Zn1 0.000 0.000 0.280
Zn2 0.000 0.000 0.780
Zn3 0.333 0.667 0.193
Zn4 0.333 0.667 0.693
O1 0.003 0.359 0.071
O2 0.003 0.644 0.571
O3 0.330 0.022 0.394
O4 0.330 0.308 0.894
O5 0.356 0.359 0.571
O6 0.356 0.997 0.071
O7 0.380 0.047 0.732
O8 0.380 0.333 0.232
O9 0.641 0.644 0.071
O10 0.641 0.997 0.571
O11 0.667 0.047 0.232
O12 0.667 0.620 0.732
O13 0.692 0.022 0.894
O14 0.692 0.670 0.394
O15 0.953 0.333 0.732
O16 0.953 0.620 0.232
O17 0.978 0.308 0.394
O18 0.978 0.670 0.894

=====

Starting from a DFT-relaxed cell (GGA+U, the Materials Project), the X-ray diffraction stick pattern of MnFe2P2O18 was calculated for Cu Kα X-rays.

The 10 most intense peaks (5 to 70 degrees two-theta), in order of falling intensity:
two_theta	I/Imax	h k l
9.04	1000	0 0 1
18.13	981	1 -1 0
13.30	632	0 1 0
26.80	575	0 2 0
18.44	565	1 0 -1
22.14	386	1 0 1
22.70	277	1 0 -2
36.87	265	1 2 -1
29.35	206	1 0 -3
27.47	183	1 -2 1

Atomic structure:
a = 5.325 Å, b = 7.220 Å, c = 10.102 Å
α = 96.54°, β = 99.76°, γ = 110.22°
Positions (direct):
Mn1 0.000 0.000 0.000
Fe1 0.500 0.000 0.500
Fe2 0.500 0.500 0.500
P1 0.009 0.093 0.322
P2 0.991 0.907 0.678
O1 0.065 0.891 0.828
O2 0.128 0.398 0.851
O3 0.140 0.316 0.407
O4 0.193 0.348 0.961
O5 0.202 0.978 0.344
O6 0.253 0.008 0.628
O7 0.304 0.012 0.079
O8 0.366 0.699 0.492
O9 0.500 0.439 0.670
O10 0.500 0.561 0.330
O11 0.634 0.301 0.508
O12 0.696 0.988 0.921
O13 0.747 0.992 0.372
O14 0.798 0.022 0.656
O15 0.807 0.652 0.039
O16 0.860 0.684 0.593
O17 0.872 0.602 0.149
O18 0.935 0.109 0.172

=====

Starting from a DFT-relaxed cell (GGA+U, the Materials Project), the X-ray diffraction stick pattern of Li9Mn2Co5O16 was calculated for Cu Kα X-rays.

The 10 most intense peaks (5 to 70 degrees two-theta), in order of falling intensity:
two_theta	I/Imax	h k l
18.48	1000	1 0 0
44.74	509	1 2 -3
42.00	313	-2 2 1
63.04	301	1 -4 2
34.92	175	-1 2 1
36.78	123	0 0 4
36.82	118	0 2 -3
47.75	95	2 0 -4
58.89	94	2 0 4
37.46	82	2 0 0

Atomic structure:
a = 5.185 Å, b = 5.906 Å, c = 10.264 Å
α = 104.02°, β = 95.42°, γ = 109.35°
Positions (direct):
Li1 0.000 0.000 0.000
Li2 0.000 0.243 0.506
Li3 0.001 0.372 0.249
Li4 0.002 0.866 0.251
Li5 0.003 0.111 0.744
Li6 0.006 0.758 0.506
Li7 0.497 0.181 0.624
Li8 0.994 0.614 0.742
Li9 0.998 0.493 0.000
Mn1 0.500 0.307 0.378
Mn2 0.505 0.554 0.874
Co1 0.495 0.814 0.379
Co2 0.499 0.055 0.871
Co3 0.500 0.433 0.125
Co4 0.500 0.934 0.125
Co5 0.501 0.680 0.626
O1 0.259 0.040 0.432
O2 0.266 0.300 0.945
O3 0.267 0.173 0.190
O4 0.271 0.911 0.700
O5 0.273 0.427 0.696
O6 0.280 0.678 0.195
O7 0.286 0.523 0.436
O8 0.293 0.775 0.939
O9 0.710 0.093 0.313
O10 0.716 0.347 0.822
O11 0.720 0.933 0.554
O12 0.722 0.189 0.055
O13 0.728 0.567 0.303
O14 0.733 0.697 0.059
O15 0.737 0.818 0.809
O16 0.740 0.453 0.549